For Y3Tl5, a DFT-relaxed cell (GGA-PBE, Alexandria) gives the computed powder X-ray diffraction pattern in this record (Cu Kα).

Principal peaks in the range 2θ from 10° to 90°, sorted by position:
2θ (°)	Rel. int.
32.9	100
33.4	18
33.9	29
34.2	21
35.6	24
60.0	16

Crystal structure
```
data_Y3Tl5
_chemical_formula_sum 'Y12 Tl20'
_space_group_name_H-M_alt 'C m c m'
_space_group_IT_number 63
_space_group_name_Hall '-C 2c 2'
_cell_length_a 10.1010
_cell_length_b 8.1558
_cell_length_c 10.5806
_cell_angle_alpha 90.00
_cell_angle_beta 90.00
_cell_angle_gamma 90.00
loop_
_atom_site_label
_atom_site_fract_x
_atom_site_fract_y
_atom_site_fract_z
_atom_site_occupancy
Y1 0.0000 0.1088 0.2500 1
Y2 0.2067 0.5000 0.0000 1
Tl1 0.0000 0.1982 0.5365 1
Tl2 0.0000 0.4985 0.7500 1
Tl3 0.2220 0.2104 0.7500 1
```

---

For AcLa2DySe6, a DFT-relaxed cell (GGA-PBE, Alexandria) gives the computed powder X-ray diffraction pattern in this record (Cu Kα).

Principal peaks in the range 2θ from 10° to 90°, sorted by position:
2θ (°)	Rel. int.
22.4	81
23.4	56
27.0	67
32.6	58
35.9	100
41.1	76

Crystal structure
```
data_AcLa2DySe6
_chemical_formula_sum 'Ac3 La6 Dy3 Se18'
_space_group_name_H-M_alt 'R 3'
_space_group_IT_number 146
_space_group_name_Hall 'R 3'
_cell_length_a 7.6064
_cell_length_b 7.6064
_cell_length_c 19.9588
_cell_angle_alpha 90.00
_cell_angle_beta 90.00
_cell_angle_gamma 120.00
loop_
_atom_site_label
_atom_site_fract_x
_atom_site_fract_y
_atom_site_fract_z
_atom_site_occupancy
Ac1 0.0000 0.0000 0.0000 1
La1 0.0000 0.0000 0.2069 1
La2 0.0000 0.0000 0.7130 1
Dy1 0.0000 0.0000 0.5086 1
Se1 0.0175 0.3705 0.7740 1
Se2 0.0538 0.6792 0.2723 1
```

---

For BC3, a DFT-relaxed cell (GGA-PBE, Alexandria) gives the computed powder X-ray diffraction pattern in this record (Cu Kα).

Principal peaks in the range 2θ from 10° to 90°, sorted by position:
2θ (°)	Rel. int.
17.4	18
42.0	51
42.2	54
43.3	100
72.2	40
72.6	26

Crystal structure
```
data_BC3
_chemical_formula_sum 'B6 C18'
_space_group_name_H-M_alt 'C 1 m 1'
_space_group_IT_number 8
_space_group_name_Hall 'C -2y'
_cell_length_a 11.5577
_cell_length_b 2.5169
_cell_length_c 5.2351
_cell_angle_alpha 90.00
_cell_angle_beta 102.78
_cell_angle_gamma 90.00
loop_
_atom_site_label
_atom_site_fract_x
_atom_site_fract_y
_atom_site_fract_z
_atom_site_occupancy
B1 0.0000 0.0000 0.0000 1
B2 0.1113 0.5000 0.0548 1
B3 0.3442 0.0000 0.1707 1
C1 0.0141 0.0000 0.5085 1
C2 0.0956 0.5000 0.5522 1
C3 0.1833 0.5000 0.3580 1
C4 0.1849 0.5000 0.8263 1
C5 0.2582 0.0000 0.3947 1
C6 0.2621 0.0000 0.8680 1
C7 0.3491 0.0000 0.6658 1
C8 0.4261 0.5000 0.7028 1
C9 0.4357 0.5000 0.2338 1
```

---

For Cs3RbGe2I9, a DFT-relaxed cell (GGA-PBE, Alexandria) gives the computed powder X-ray diffraction pattern in this record (Cu Kα).

Principal peaks in the range 2θ from 10° to 90°, sorted by position:
2θ (°)	Rel. int.
25.3	77
28.4	100
32.9	36
42.6	37
44.7	22
52.6	21

Crystal structure
```
data_Cs3RbGe2I9
_chemical_formula_sum 'Cs3 Rb1 Ge2 I9'
_space_group_name_H-M_alt 'P -3 m 1'
_space_group_IT_number 164
_space_group_name_Hall '-P 3 2"'
_cell_length_a 8.4863
_cell_length_b 8.4863
_cell_length_c 12.1484
_cell_angle_alpha 90.00
_cell_angle_beta 90.00
_cell_angle_gamma 120.00
loop_
_atom_site_label
_atom_site_fract_x
_atom_site_fract_y
_atom_site_fract_z
_atom_site_occupancy
Cs1 0.0000 0.0000 0.0000 1
Cs2 0.3333 0.6667 0.7464 1
Rb1 0.0000 0.0000 0.5000 1
Ge1 0.3333 0.6667 0.1541 1
I1 0.0000 0.5000 0.0000 1
I2 0.1709 0.3418 0.2811 1
```